[1]
The following is a theoretical PXRD pattern of TePd16. It was derived from a PBE-relaxed structure, using Cu Kα (weighted mean of Kα1 and Kα2).
Neutral-atom scattering factors, no anomalous dispersion.

Structure:
a = 11.277 Å, b = 2.834 Å, c = 27.179 Å
α = 90.00°, β = 90.39°, γ = 90.00°
Space group P2_1/m (No. 11)
One atom of each set of equivalent atoms:
Te (0.111, 0.250, 0.213)
Pd (0.013, 0.750, 0.544)
Pd (0.041, 0.250, 0.632)
Pd (0.072, 0.750, 0.724)
Pd (0.137, 0.750, 0.300)
Pd (0.165, 0.250, 0.387)
Pd (0.192, 0.750, 0.476)
Pd (0.219, 0.250, 0.563)
Pd (0.244, 0.750, 0.651)
Pd (0.276, 0.250, 0.739)
Pd (0.316, 0.750, 0.228)
Pd (0.345, 0.250, 0.318)
Pd (0.370, 0.750, 0.405)
Pd (0.397, 0.250, 0.492)
Pd (0.424, 0.750, 0.579)
Pd (0.450, 0.250, 0.666)
Pd (0.479, 0.750, 0.753)

Top 12 peaks for 2θ = 10–90°, most intense first:
| 2θ/deg | I/Imax | h k l |
| --- | --- | --- |
| 39.3 | 1000 | 2 1 5 |
| 40.5 | 778 | 1 0 -12 |
| 46.4 | 533 | 3 1 -7 |
| 44.7 | 435 | 3 1 -6 |
| 40.1 | 346 | 5 0 -1 |
| 37.2 | 306 | 1 0 -11 |
| 46.6 | 296 | 4 0 10 |
| 40.9 | 290 | 2 1 6 |
| 38.0 | 220 | 2 1 4 |
| 80.3 | 204 | 1 2 -12 |
| 67.9 | 178 | 1 1 17 |
| 68.5 | 144 | 7 1 4 |

***

[2]
The following is a theoretical PXRD pattern of TePd15. It was derived from a PBE-relaxed structure, using Cu Kα (weighted mean of Kα1 and Kα2).
Neutral-atom scattering factors, no anomalous dispersion.

Structure:
a = 4.794 Å, b = 35.133 Å, c = 4.796 Å
α = 90.00°, β = 109.51°, γ = 90.00°
Space group P2/c (No. 13)
One atom of each set of equivalent atoms:
Te (0.000, 0.203, 0.250)
Pd (0.000, 0.239, 0.750)
Pd (0.000, 0.281, 0.250)
Pd (0.000, 0.321, 0.750)
Pd (0.000, 0.361, 0.250)
Pd (0.000, 0.401, 0.750)
Pd (0.000, 0.441, 0.250)
Pd (0.000, 0.480, 0.750)
Pd (0.500, 0.199, 0.750)
Pd (0.500, 0.239, 0.250)
Pd (0.500, 0.281, 0.750)
Pd (0.500, 0.321, 0.250)
Pd (0.500, 0.361, 0.750)
Pd (0.500, 0.401, 0.250)
Pd (0.500, 0.440, 0.750)
Pd (0.500, 0.480, 0.250)

Top 12 peaks for 2θ = 10–90°, most intense first:
| 2θ/deg | I/Imax | h k l |
| --- | --- | --- |
| 39.9 | 1000 | 2 0 0 |
| 38.4 | 533 | 1 12 -1 |
| 40.6 | 495 | 1 13 -1 |
| 45.1 | 349 | 1 12 1 |
| 47.0 | 322 | 1 13 1 |
| 46.4 | 232 | 2 0 -2 |
| 80.5 | 231 | 2 25 0 |
| 68.2 | 206 | 3 13 -1 |
| 66.7 | 202 | 3 12 -1 |
| 82.0 | 185 | 3 13 1 |
| 10.1 | 165 | 0 4 0 |
| 81.6 | 120 | 4 0 -2 |

***

[3]
The following is a theoretical PXRD pattern of TePd9. It was derived from a PBE-relaxed structure, using Cu Kα (weighted mean of Kα1 and Kα2).
Neutral-atom scattering factors, no anomalous dispersion.

Structure:
a = 2.876 Å, b = 2.876 Å, c = 49.315 Å
α = 90.00°, β = 90.00°, γ = 90.00°
Space group P4/nmm (No. 129, origin choice 2)
One atom of each set of equivalent atoms:
Te (0.250, 0.250, 0.139)
Pd (0.250, 0.250, 0.219)
Pd (0.250, 0.250, 0.295)
Pd (0.250, 0.250, 0.369)
Pd (0.250, 0.250, 0.444)
Pd (0.250, 0.250, 0.519)
Pd (0.250, 0.250, 0.593)
Pd (0.250, 0.250, 0.668)
Pd (0.250, 0.250, 0.743)
Pd (0.250, 0.250, 0.820)

Top 12 peaks for 2θ = 10–90°, most intense first:
| 2θ/deg | I/Imax | h k l |
| --- | --- | --- |
| 39.3 | 1000 | 1 0 13 |
| 44.6 | 486 | 1 1 0 |
| 40.5 | 387 | 1 0 14 |
| 78.5 | 255 | 2 1 13 |
| 64.8 | 155 | 2 0 0 |
| 69.1 | 148 | 1 1 27 |
| 67.5 | 108 | 1 1 26 |
| 79.3 | 104 | 2 1 14 |
| 85.7 | 100 | 1 0 40 |
| 49.9 | 99 | 0 0 27 |
| 86.0 | 81 | 2 0 27 |
| 48.0 | 77 | 0 0 26 |

***

[4]
The following is a theoretical PXRD pattern of Te2Pd. It was derived from a PBE-relaxed structure, using Cu Kα (weighted mean of Kα1 and Kα2).
Neutral-atom scattering factors, no anomalous dispersion.

Structure:
a = 4.000 Å, b = 7.057 Å, c = 11.041 Å
α = 90.00°, β = 90.00°, γ = 90.00°
Space group Pmn2_1 (No. 31)
One atom of each set of equivalent atoms:
Te (0.000, 0.141, 0.000)
Te (0.000, 0.358, 0.500)
Te (0.000, 0.707, 0.247)
Te (0.000, 0.792, 0.746)
Pd (0.000, 0.033, 0.373)
Pd (0.000, 0.467, 0.874)

Top 12 peaks for 2θ = 10–90°, most intense first:
| 2θ/deg | I/Imax | h k l |
| --- | --- | --- |
| 30.4 | 1000 | 1 1 2 |
| 35.5 | 502 | 1 1 3 |
| 45.5 | 360 | 1 3 1 |
| 16.1 | 270 | 0 0 2 |
| 26.5 | 263 | 0 2 1 |
| 41.5 | 240 | 0 2 4 |
| 45.3 | 221 | 2 0 0 |
| 48.8 | 188 | 1 1 5 |
| 30.1 | 186 | 0 2 2 |
| 56.6 | 168 | 1 1 6 |
| 35.2 | 166 | 0 2 3 |
| 44.7 | 153 | 1 3 0 |